This entry pairs a crystal structure of ZrTl3V2Te6 with its computed X-ray powder pattern. Radiation: copper Kα. Structure: the GGA-PBE geometry in Alexandria.
No peak broadening, texture or thermal motion is included.

Largest 10 diffraction maxima, low angle first, 2θ from 10° to 80°:
2θ/deg	intensity
25.35	13.5
27.51	79.2
31.94	15.8
33.23	100.0
44.66	38.3
50.61	22.2
53.26	12.6
55.96	19.2
56.79	21.1
74.96	12.2

Structural model:
```
data_ZrTl3V2Te6
_cell_length_a 7.0312
_cell_length_b 7.0312
_cell_length_c 8.4052
_cell_angle_alpha 90.01
_cell_angle_beta 90.01
_cell_angle_gamma 120.08
_symmetry_space_group_name_H-M 'P 1'
_symmetry_Int_Tables_number 1
loop_
_symmetry_equiv_pos_as_xyz
'x,y,z'
loop_
_atom_site_label
_atom_site_type_symbol
_atom_site_fract_x
_atom_site_fract_y
_atom_site_fract_z
_atom_site_occupancy
Zr1 Zr 0.0000 0.0000 0.0000 1
Tl1 Tl 0.0000 0.0000 0.5000 1
Tl2 Tl 0.3329 0.6671 0.5000 1
Tl3 Tl 0.6671 0.3329 0.5000 1
V1 V 0.3337 0.6663 0.0000 1
V2 V 0.6663 0.3337 0.0000 1
Te1 Te 0.9997 0.3469 0.8080 1
Te2 Te 0.0003 0.6531 0.1920 1
Te3 Te 0.3469 0.9997 0.8080 1
Te4 Te 0.3473 0.3473 0.1927 1
Te5 Te 0.6531 0.0003 0.1920 1
Te6 Te 0.6527 0.6527 0.8073 1
```

This entry pairs a crystal structure of Sm2Tm2Sb5 with its computed X-ray powder pattern. Radiation: copper Kα. Structure: the GGA-PBE geometry in Alexandria.
No peak broadening, texture or thermal motion is included.

Largest 10 diffraction maxima, low angle first, 2θ from 10° to 80°:
2θ/deg	intensity
27.19	39.1
29.71	100.0
31.13	35.8
32.35	37.2
33.66	86.7
34.06	37.6
35.01	71.3
35.77	65.1
37.60	27.7
64.88	34.3

Structural model:
```
data_Sm2Tm2Sb5
_cell_length_a 8.8560
_cell_length_b 8.8560
_cell_length_c 8.2348
_cell_angle_alpha 90.00
_cell_angle_beta 90.00
_cell_angle_gamma 53.85
_symmetry_space_group_name_H-M 'P 1'
_symmetry_Int_Tables_number 1
loop_
_symmetry_equiv_pos_as_xyz
'x,y,z'
loop_
_atom_site_label
_atom_site_type_symbol
_atom_site_fract_x
_atom_site_fract_y
_atom_site_fract_z
_atom_site_occupancy
Sm1 Sm 0.1920 0.1920 0.0000 1
Sm2 Sm 0.3080 0.3080 0.5000 1
Sm3 Sm 0.6920 0.6920 0.5000 1
Sm4 Sm 0.8080 0.8080 0.0000 1
Tm1 Tm 0.1553 0.8447 0.6600 1
Tm2 Tm 0.3447 0.6553 0.1600 1
Tm3 Tm 0.6553 0.3447 0.8400 1
Tm4 Tm 0.8447 0.1553 0.3400 1
Sb1 Sb 0.0000 0.0000 0.0000 1
Sb2 Sb 0.0103 0.7171 0.3538 1
Sb3 Sb 0.2171 0.5103 0.8538 1
Sb4 Sb 0.2829 0.9897 0.3538 1
Sb5 Sb 0.4897 0.7829 0.8538 1
Sb6 Sb 0.5000 0.5000 0.5000 1
Sb7 Sb 0.5103 0.2171 0.1462 1
Sb8 Sb 0.7171 0.0103 0.6462 1
Sb9 Sb 0.7829 0.4897 0.1462 1
Sb10 Sb 0.9897 0.2829 0.6462 1
```

This entry pairs a crystal structure of Nd4SnTe2As with its computed X-ray powder pattern. Radiation: copper Kα. Structure: the GGA-PBE geometry in Alexandria.
No peak broadening, texture or thermal motion is included.

Largest 10 diffraction maxima, low angle first, 2θ from 10° to 80°:
2θ/deg	intensity
28.28	100.0
40.26	37.0
40.57	38.3
49.67	6.3
50.19	20.4
58.49	12.3
66.00	15.9
66.44	17.4
73.65	8.3
73.82	6.5

Structural model:
```
data_Nd4SnTe2As
_cell_length_a 7.7074
_cell_length_b 4.4439
_cell_length_c 7.7760
_cell_angle_alpha 90.00
_cell_angle_beta 109.22
_cell_angle_gamma 90.00
_symmetry_space_group_name_H-M 'P 1'
_symmetry_Int_Tables_number 1
loop_
_symmetry_equiv_pos_as_xyz
'x,y,z'
loop_
_atom_site_label
_atom_site_type_symbol
_atom_site_fract_x
_atom_site_fract_y
_atom_site_fract_z
_atom_site_occupancy
Nd1 Nd 0.2358 0.0000 0.2275 1
Nd2 Nd 0.2483 0.5000 0.7651 1
Nd3 Nd 0.7517 0.5000 0.2349 1
Nd4 Nd 0.7642 0.0000 0.7725 1
Sn1 Sn 0.5000 0.0000 0.0000 1
Te1 Te 0.0000 0.0000 0.5000 1
Te2 Te 0.5000 0.5000 0.5000 1
As1 As 0.0000 0.5000 0.0000 1
```

This entry pairs a crystal structure of KAsPbSe3 with its computed X-ray powder pattern. Radiation: copper Kα. Structure: the GGA-PBE geometry in Alexandria.
No peak broadening, texture or thermal motion is included.

Largest 10 diffraction maxima, low angle first, 2θ from 10° to 80°:
2θ/deg	intensity
11.68	100.0
24.02	16.7
26.46	25.7
27.39	50.8
27.59	44.6
32.83	24.7
34.80	24.1
35.56	18.5
39.06	22.0
42.13	28.1

Structural model:
```
data_KAsPbSe3
_cell_length_a 9.3796
_cell_length_b 4.6120
_cell_length_c 10.3026
_cell_angle_alpha 90.00
_cell_angle_beta 101.27
_cell_angle_gamma 90.00
_symmetry_space_group_name_H-M 'P 1'
_symmetry_Int_Tables_number 1
loop_
_symmetry_equiv_pos_as_xyz
'x,y,z'
loop_
_atom_site_label
_atom_site_type_symbol
_atom_site_fract_x
_atom_site_fract_y
_atom_site_fract_z
_atom_site_occupancy
K1 K 0.1803 0.2500 0.2001 1
K2 K 0.8197 0.7500 0.7999 1
As1 As 0.0996 0.2500 0.6225 1
As2 As 0.9004 0.7500 0.3775 1
Pb1 Pb 0.3702 0.7500 0.8668 1
Pb2 Pb 0.6298 0.2500 0.1332 1
Se1 Se 0.0987 0.2500 0.8528 1
Se2 Se 0.1547 0.7500 0.4699 1
Se3 Se 0.4239 0.7500 0.1447 1
Se4 Se 0.5761 0.2500 0.8553 1
Se5 Se 0.8453 0.2500 0.5301 1
Se6 Se 0.9013 0.7500 0.1472 1
```